Structure and calculated powder XRD pattern of Ce4Pu3Se8 (the GGA-PBE geometry in Alexandria; Cu Kα (λ = 1.5418 Å)).
Kinematic intensities with the Lorentz-polarization factor, no thermal factor.

Structure:
abc: 11.789 11.792 8.305
angles: 90.00 134.77 90.00
Space group C2/m (No. 12)
One atom of each set of equivalent atoms:
Ce: 0.000 0.000 0.000 [2 per cell]
Ce: 0.000 0.500 0.500 [2 per cell]
Ce: 0.250 0.250 0.000 [4 per cell]
Pu: 0.000 0.500 0.000 [2 per cell]
Pu: 0.250 0.250 0.500 [4 per cell]
Se: 0.000 0.247 0.500 [4 per cell]
Se: 0.000 0.252 0.000 [4 per cell]
Se: 0.248 0.000 0.502 [4 per cell]
Se: 0.248 0.000 0.993 [4 per cell]

Top 12 peaks for 2θ = 10–90°, low angle first:
2θ = 15.03°, intensity 110; 2θ = 21.30°, intensity 88; 2θ = 26.11°, intensity 101; 2θ = 26.25°, intensity 100; 2θ = 30.32°, intensity 1000; 2θ = 43.24°, intensity 127; 2θ = 43.41°, intensity 501; 2θ = 43.59°, intensity 124; 2θ = 53.72°, intensity 134; 2θ = 54.02°, intensity 132; 2θ = 63.08°, intensity 124; 2θ = 71.58°, intensity 228